Starting from DFT lattice parameters and positions (GGA-PBE), the powder diffractogram of Tl6CdI8 was computed for Cu Kα.

Main lines, by intensity (15° ≤ 2θ ≤ 90°):
- 2θ 31.5, I 100
- 2θ 26.3, I 77
- 2θ 29.5, I 53
- 2θ 21.4, I 38
- 2θ 27.5, I 36
- 2θ 43.7, I 36
- 2θ 36.8, I 34
- 2θ 34.2, I 28
- 2θ 54.2, I 25
- 2θ 63.0, I 22

Cell and atoms:
Cell: 10.4743 10.4743 20.3165 Å, 90.00 90.00 120.00°
Space group R-3 (No. 148, hexagonal axes)
Symmetry-distinct sites (fractional):
Tl 0.0204 0.6257 0.4258 (multiplicity 18)
Cd 0.0000 0.0000 0.5000 (multiplicity 3)
I 0.0000 0.0000 0.1625 (multiplicity 6)
I 0.0069 0.7642 0.5855 (multiplicity 18)